La2TmGa3Au4: computed XRD peak list (Cu Kα (weighted mean of Kα1 and Kα2)), based on a GGA-PBE-relaxed structure.

Principal peaks in the range 2θ = 10–80°, most intense first:
- 32.4 deg, rel. 100
- 40.6 deg, rel. 54
- 42.5 deg, rel. 35
- 68.7 deg, rel. 23
- 30.7 deg, rel. 22
- 25.3 deg, rel. 19

Atomic structure:
```
La2TmGa3Au4
1.0
4.448 0.000 0.000
0.000 4.448 0.000
0.000 0.000 11.527
La Tm Ga Au
2 1 3 4
Direct
0.000 0.500 0.222
0.500 0.000 0.778
0.000 0.000 0.500
0.000 0.500 0.875
0.500 0.000 0.125
0.500 0.500 0.500
0.000 0.000 0.000
0.000 0.500 0.653
0.500 0.000 0.347
0.500 0.500 0.000
```

Y2Ag3Pb3: computed XRD peak list (Cu Kα (weighted mean of Kα1 and Kα2)), based on a GGA-PBE-relaxed structure.

Principal peaks in the range 2θ = 10–80°, most intense first:
- 33.7 deg, rel. 100
- 37.5 deg, rel. 19
- 38.5 deg, rel. 18
- 65.2 deg, rel. 15
- 66.6 deg, rel. 14
- 41.4 deg, rel. 14

Atomic structure:
```
Y2Ag3Pb3
1.0
4.675 0.000 0.000
0.000 4.800 0.000
0.000 0.000 8.724
Y Ag Pb
2 3 3
Direct
0.000 0.000 0.247
0.000 0.000 0.753
0.000 0.500 0.000
0.500 0.500 0.233
0.500 0.500 0.767
0.000 0.500 0.500
0.500 0.000 0.000
0.500 0.000 0.500
```

Sm6Y5Sc2: computed XRD peak list (Cu Kα (weighted mean of Kα1 and Kα2)), based on a GGA-PBE-relaxed structure.

Principal peaks in the range 2θ = 10–80°, most intense first:
- 31.6 deg, rel. 100
- 32.3 deg, rel. 74
- 31.5 deg, rel. 37
- 61.2 deg, rel. 32
- 36.8 deg, rel. 31
- 34.3 deg, rel. 29

Atomic structure:
```
Sm6Y5Sc2
1.0
11.438 0.000 0.000
0.000 20.474 0.000
0.000 0.000 3.585
Sm Y Sc
12 10 4
Direct
0.068 0.080 0.000
0.086 0.367 0.000
0.169 0.643 0.500
0.331 0.143 0.500
0.414 0.867 0.000
0.432 0.580 0.000
0.568 0.420 0.000
0.586 0.133 0.000
0.669 0.857 0.500
0.831 0.357 0.500
0.914 0.633 0.000
0.932 0.920 0.000
0.000 0.500 0.500
0.083 0.227 0.500
0.193 0.941 0.500
0.307 0.441 0.500
0.417 0.727 0.500
0.500 0.000 0.500
0.583 0.273 0.500
0.693 0.559 0.500
0.807 0.059 0.500
0.917 0.773 0.500
0.172 0.791 0.000
0.328 0.291 0.000
0.672 0.709 0.000
0.828 0.209 0.000
```

Tm4PdSe2: computed XRD peak list (Cu Kα (weighted mean of Kα1 and Kα2)), based on a GGA-PBE-relaxed structure.

Principal peaks in the range 2θ = 10–80°, most intense first:
- 29.1 deg, rel. 100
- 31.9 deg, rel. 81
- 33.8 deg, rel. 55
- 40.5 deg, rel. 51
- 46.7 deg, rel. 42
- 31.2 deg, rel. 36

Atomic structure:
```
Tm4PdSe2
1.0
1.928 -6.429 0.000
1.928 6.429 0.000
0.000 0.000 13.949
Tm Pd Se
8 2 4
Direct
0.000 0.000 0.000
0.000 0.000 0.500
0.290 0.710 0.628
0.290 0.710 0.872
0.448 0.552 0.250
0.552 0.448 0.750
0.710 0.290 0.128
0.710 0.290 0.372
0.106 0.894 0.250
0.894 0.106 0.750
0.358 0.642 0.064
0.358 0.642 0.436
0.642 0.358 0.564
0.642 0.358 0.936
```

Hf6FeHg: computed XRD peak list (Cu Kα (weighted mean of Kα1 and Kα2)), based on a GGA-PBE-relaxed structure.

Principal peaks in the range 2θ = 10–80°, most intense first:
- 36.8 deg, rel. 100
- 31.6 deg, rel. 77
- 38.9 deg, rel. 46
- 35.1 deg, rel. 33
- 38.3 deg, rel. 30
- 69.0 deg, rel. 16

Atomic structure:
```
Hf6FeHg
1.0
4.635 0.000 0.000
-2.309 5.190 0.000
-0.009 -1.340 7.138
Hf Fe Hg
6 1 1
Direct
0.097 0.194 0.221
0.204 0.405 0.818
0.348 0.697 0.487
0.652 0.303 0.513
0.796 0.595 0.182
0.903 0.806 0.779
0.000 0.000 0.500
0.500 0.000 0.000
```

Ba3Pr: computed XRD peak list (Cu Kα (weighted mean of Kα1 and Kα2)), based on a GGA-PBE-relaxed structure.

Principal peaks in the range 2θ = 10–80°, most intense first:
- 27.6 deg, rel. 100
- 27.8 deg, rel. 40
- 26.0 deg, rel. 36
- 46.9 deg, rel. 31
- 50.9 deg, rel. 22
- 43.0 deg, rel. 18

Atomic structure:
```
Ba3Pr
1.0
4.231 0.000 0.000
0.000 13.717 0.000
0.000 0.000 7.269
Ba Pr
6 2
Direct
0.000 0.000 0.000
0.000 0.239 0.648
0.000 0.761 0.648
0.500 0.261 0.148
0.500 0.500 0.500
0.500 0.739 0.148
0.000 0.500 0.998
0.500 0.000 0.498
```

NdMgP2Pt5: computed XRD peak list (Cu Kα (weighted mean of Kα1 and Kα2)), based on a GGA-PBE-relaxed structure.

Principal peaks in the range 2θ = 10–80°, most intense first:
- 35.3 deg, rel. 100
- 31.8 deg, rel. 99
- 26.2 deg, rel. 97
- 43.7 deg, rel. 67
- 51.6 deg, rel. 63
- 54.8 deg, rel. 42

Atomic structure:
```
NdMgP2Pt5
1.0
4.145 0.000 0.000
0.000 4.145 0.000
0.000 0.000 10.213
Nd Mg P Pt
1 1 2 5
Direct
0.000 0.000 0.000
0.000 0.000 0.500
0.500 0.500 0.222
0.500 0.500 0.778
0.000 0.500 0.323
0.000 0.500 0.677
0.500 0.000 0.323
0.500 0.000 0.677
0.500 0.500 0.000
```

La2YCd6: computed XRD peak list (Cu Kα (weighted mean of Kα1 and Kα2)), based on a GGA-PBE-relaxed structure.

Principal peaks in the range 2θ = 10–80°, most intense first:
- 32.7 deg, rel. 100
- 35.2 deg, rel. 90
- 48.8 deg, rel. 32
- 61.6 deg, rel. 31
- 64.7 deg, rel. 29
- 63.2 deg, rel. 15

Atomic structure:
```
La2YCd6
1.0
8.826 0.000 0.000
-4.413 7.644 0.000
0.000 0.000 3.493
La Y Cd
2 1 6
Direct
0.333 0.667 0.000
0.667 0.333 0.000
0.000 0.000 0.000
0.000 0.328 0.500
0.000 0.672 0.500
0.328 0.000 0.500
0.328 0.328 0.500
0.672 0.000 0.500
0.672 0.672 0.500
```